(1)
Theoretical powder diffraction line list
Compound: FeGeRuO6
Radiation: λ = 1.5418 Å (Cu Kα)
Structure: a crystal structure in Alexandria, relaxed with GGA+U
Neutral-atom scattering factors, no anomalous dispersion.

Crystal structure
```
FeGeRuO6
1.0
4.5933 0.0000 0.0000
0.0000 4.5933 0.0000
0.0000 0.0000 8.8993
Fe Ge Ru O
2 2 2 12
direct
0.0000 0.0000 0.0000
0.5000 0.5000 0.5000
0.0000 0.0000 0.6692
0.5000 0.5000 0.1692
0.0000 0.0000 0.3345
0.5000 0.5000 0.8345
0.1881 0.1881 0.5063
0.1902 0.1902 0.8319
0.1968 0.1968 0.1683
0.3032 0.6968 0.6683
0.3098 0.6902 0.3319
0.3119 0.6881 0.0063
0.6881 0.3119 0.0063
0.6902 0.3098 0.3319
0.6968 0.3032 0.6683
0.8032 0.8032 0.1683
0.8098 0.8098 0.8319
0.8119 0.8119 0.5063
```

Most intense lines, 2θ from 10° to 90°, sorted by position:
2θ 27.46, d 3.248, rel. 100; 2θ 36.04, d 2.492, rel. 62; 2θ 39.23, d 2.297, rel. 16; 2θ 54.32, d 1.689, rel. 61; 2θ 56.68, d 1.624, rel. 16; 2θ 69.03, d 1.361, rel. 20

---

(2)
Theoretical powder diffraction line list
Compound: TbFeGe2O7
Radiation: λ = 1.5418 Å (Cu Kα)
Structure: a crystal structure in Alexandria, relaxed with GGA+U
Neutral-atom scattering factors, no anomalous dispersion.

Crystal structure
```
TbFeGe2O7
1.0
5.4368 -4.3269 0.0000
5.4368 4.3269 0.0000
-3.1207 0.0000 6.0071
Tb Fe Ge O
2 2 4 14
direct
0.2100 0.7900 0.0000
0.7900 0.2100 0.0000
0.3043 0.6957 0.5000
0.6957 0.3043 0.5000
0.2196 0.2196 0.5169
0.3014 0.3014 0.0740
0.6986 0.6986 0.9260
0.7804 0.7804 0.4831
0.0530 0.7242 0.5963
0.1308 0.1308 0.0321
0.2113 0.5664 0.1716
0.2758 0.9470 0.4037
0.3166 0.3166 0.8154
0.3670 0.3670 0.4641
0.4336 0.7887 0.8284
0.5664 0.2113 0.1716
0.6330 0.6330 0.5359
0.6834 0.6834 0.1846
0.7242 0.0530 0.5963
0.7887 0.4336 0.8284
0.8692 0.8692 0.9679
0.9470 0.2758 0.4037
```

Most intense lines, 2θ from 10° to 90°, sorted by position:
2θ 26.75, d 3.333, rel. 27; 2θ 27.69, d 3.221, rel. 100; 2θ 29.75, d 3.004, rel. 45; 2θ 33.97, d 2.639, rel. 34; 2θ 35.40, d 2.536, rel. 20; 2θ 47.31, d 1.921, rel. 18

---

(3)
Theoretical powder diffraction line list
Compound: TbFe2GeO6
Radiation: λ = 1.5418 Å (Cu Kα)
Structure: a crystal structure in Alexandria, relaxed with GGA+U
Neutral-atom scattering factors, no anomalous dispersion.

Crystal structure
```
TbFe2GeO6
1.0
5.1719 0.0000 0.0000
2.5210 4.5981 0.0000
2.4481 1.5228 4.8261
Tb Fe Ge O
1 2 1 6
direct
0.0000 0.0000 0.0000
0.2052 0.2063 0.3819
0.7111 0.7195 0.8326
0.5105 0.5233 0.4458
0.1401 0.8027 0.6272
0.3264 0.5590 0.1865
0.4070 0.1585 0.6364
0.5701 0.9002 0.1697
0.7661 0.4288 0.6530
0.9031 0.3377 0.1877
```

Most intense lines, 2θ from 10° to 90°, sorted by position:
2θ 31.31, d 2.857, rel. 100; 2θ 31.42, d 2.847, rel. 96; 2θ 32.13, d 2.786, rel. 93; 2θ 33.78, d 2.653, rel. 91; 2θ 34.22, d 2.621, rel. 82; 2θ 34.70, d 2.585, rel. 80

---

(4)
Theoretical powder diffraction line list
Compound: FeTcGeO6
Radiation: λ = 1.5418 Å (Cu Kα)
Structure: a crystal structure in Alexandria, relaxed with GGA+U
Neutral-atom scattering factors, no anomalous dispersion.

Crystal structure
```
FeTcGeO6
1.0
5.0152 0.0000 0.0000
-2.5076 4.3433 0.0000
0.0000 0.0000 8.7935
Fe Tc Ge O
2 2 2 12
direct
0.0000 0.0000 0.0000
0.0000 0.0000 0.5000
0.3333 0.6667 0.2500
0.6667 0.3333 0.7500
0.3333 0.6667 0.7500
0.6667 0.3333 0.2500
0.0070 0.3492 0.6312
0.0070 0.6578 0.8688
0.3422 0.3492 0.8688
0.3422 0.9930 0.6312
0.3492 0.0070 0.1312
0.3492 0.3422 0.3688
0.6508 0.6578 0.6312
0.6508 0.9930 0.8688
0.6578 0.0070 0.3688
0.6578 0.6508 0.1312
0.9930 0.3422 0.1312
0.9930 0.6508 0.3688
```

Most intense lines, 2θ from 10° to 90°, sorted by position:
2θ 20.20, d 4.397, rel. 29; 2θ 28.90, d 3.090, rel. 100; 2θ 35.81, d 2.508, rel. 44; 2θ 41.45, d 2.178, rel. 33; 2θ 46.65, d 1.947, rel. 25; 2θ 55.60, d 1.653, rel. 53